For HoCrClO4, a structure optimized by DFT (GGA+U) gives the simulated PXRD pattern in this record (a wavelength of 1.5418 Å).

Cell and atoms:
```
data_HoCrClO4
_chemical_formula_sum 'Ho4 Cr4 Cl4 O16'
_cell_length_a 9.9568
_cell_length_b 7.1653
_cell_length_c 6.6520
_cell_angle_alpha 90.00
_cell_angle_beta 105.39
_cell_angle_gamma 90.00
_symmetry_space_group_name_H-M 'C 1 2/m 1'
_symmetry_Int_Tables_number 12
_symmetry_space_group_name_Hall '-C 2y'
loop_
_atom_site_label
_atom_site_type_symbol
_atom_site_fract_x
_atom_site_fract_y
_atom_site_fract_z
Ho1 Ho 0.2233 0.0000 0.1134
Cr1 Cr 0.1395 0.5000 0.2692
Cl1 Cl 0.0139 0.0000 0.7631
O1 O 0.0306 0.5000 0.7716
O2 O 0.1917 0.3165 0.1475
O3 O 0.2141 0.5000 0.5203
```

Most intense lines, 5 to 70 degrees two-theta, sorted by position:
2θ (°), I_rel
13.81, 86
18.48, 65
19.04, 33
24.85, 100
25.97, 52
29.67, 50
30.39, 57
31.15, 19
34.12, 23
36.24, 64
46.87, 22
47.39, 47